(1)
# VH10SNO9
Simulated powder X-ray diffraction pattern, copper Kα. Input: the PBE+U geometry in Alexandria.
Neutral-atom scattering factors, no anomalous dispersion.

Cell and atoms:
Cell: 6.2551 9.9805 6.8117 Å, 90.00 108.70 90.00°
Space group P2_1 (No. 4)
Symmetry-distinct sites (fractional):
V: 0.1119 0.0000 0.3961 x2
H: 0.0392 0.7661 0.6654 x2
H: 0.0697 0.6488 0.2383 x2
H: 0.1137 0.6621 0.0066 x2
H: 0.1837 0.2627 0.2608 x2
H: 0.2665 0.5514 0.1859 x2
H: 0.2703 0.2196 0.6961 x2
H: 0.3021 0.0880 0.8273 x2
H: 0.3084 0.7202 0.2202 x2
H: 0.3692 0.3482 0.0663 x2
H: 0.4718 0.8588 0.7046 x2
S: 0.4313 0.5017 0.7238 x2
N: 0.1908 0.6454 0.1640 x2
O: 0.0299 0.9314 0.1651 x2
O: 0.0548 0.2068 0.2750 x2
O: 0.1818 0.8687 0.5618 x2
O: 0.1947 0.5346 0.5825 x2
O: 0.2036 0.1294 0.6977 x2
O: 0.3674 0.3667 0.2070 x2
O: 0.4268 0.0456 0.4087 x2
O: 0.4524 0.3558 0.7621 x2
O: 0.4879 0.5796 0.9146 x2

Largest 8 diffraction maxima, sorted by position, 2θ from 10° to 90°:
13.72 deg, rel. 44
16.36 deg, rel. 100
17.77 deg, rel. 72
22.52 deg, rel. 24
25.08 deg, rel. 15
29.09 deg, rel. 17
30.23 deg, rel. 81
31.50 deg, rel. 26

=====

(2)
# H8W3SeN2O12
Simulated powder X-ray diffraction pattern, copper Kα. Input: the PBE+U geometry in Alexandria.
Neutral-atom scattering factors, no anomalous dispersion.

Cell and atoms:
Cell: 7.3468 7.3468 12.5728 Å, 90.00 90.00 120.00°
Space group P6_3mc (No. 186)
Symmetry-distinct sites (fractional):
H: 0.1803 0.5901 0.0000 x6
H: 0.2558 0.5116 0.6131 x6
H: 0.3333 0.6667 0.1108 x2
H: 0.3333 0.6667 0.7223 x2
W: 0.1694 0.3389 0.3686 x6
Se: 0.0000 0.0000 0.0977 x2
N: 0.3333 0.6667 0.0284 x2
N: 0.3333 0.6667 0.6409 x2
O: 0.0846 0.5423 0.4144 x6
O: 0.1243 0.2486 0.8583 x6
O: 0.1246 0.2491 0.5390 x6
O: 0.2024 0.4047 0.2325 x6

Largest 8 diffraction maxima, sorted by position, 2θ from 10° to 90°:
13.92 deg, rel. 33
14.09 deg, rel. 96
15.61 deg, rel. 61
28.12 deg, rel. 51
28.40 deg, rel. 29
28.95 deg, rel. 100
31.52 deg, rel. 34
35.42 deg, rel. 32